No. 1
Computed powder XRD pattern of La5NdGa6 for λ = 1.5418 Å (Cu Kα), from a structure optimized by DFT (GGA-PBE).

Structural model:
Unit cell a=5.3152 b=7.5168 c=8.4141 alpha=90.00 beta=108.26 gamma=90.00
Atoms (fractional coordinates):
La (0.0000, 0.0000, 0.0000)
La (0.3311, 0.0000, 0.6621)
La (0.3334, 0.5000, 0.6666)
La (0.6666, 0.5000, 0.3334)
La (0.6689, 0.0000, 0.3379)
Nd (0.0000, 0.5000, 0.0000)
Ga (0.1641, 0.2536, 0.3284)
Ga (0.1641, 0.7464, 0.3284)
Ga (0.5000, 0.2530, 0.0000)
Ga (0.5000, 0.7470, 0.0000)
Ga (0.8359, 0.2536, 0.6716)
Ga (0.8359, 0.7464, 0.6716)

Largest 6 diffraction maxima, sorted by position, 2θ from 10° to 90°:
| 2θ (°) | intensity |
| --- | --- |
| 23.7 | 11 |
| 33.7 | 100 |
| 48.4 | 12 |
| 60.2 | 18 |
| 60.3 | 18 |
| 80.9 | 9 |



No. 2
Computed powder XRD pattern of Pr2DyTm2Mg5 for λ = 1.5418 Å (Cu Kα), from a structure optimized by DFT (GGA-PBE).

Structural model:
Unit cell a=10.6223 b=10.6223 c=5.0708 alpha=90.00 beta=90.00 gamma=90.00
Atoms (fractional coordinates):
Pr (0.1768, 0.3232, 0.0000)
Pr (0.3232, 0.8232, 0.0000)
Pr (0.6768, 0.1768, 0.0000)
Pr (0.8232, 0.6768, 0.0000)
Dy (0.0000, 0.0000, 0.0000)
Dy (0.5000, 0.5000, 0.0000)
Tm (0.1193, 0.6193, 0.0000)
Tm (0.3807, 0.1193, 0.0000)
Tm (0.6193, 0.8807, 0.0000)
Tm (0.8807, 0.3807, 0.0000)
Mg (0.0000, 0.5000, 0.5000)
Mg (0.0700, 0.8012, 0.5000)
Mg (0.1988, 0.0700, 0.5000)
Mg (0.3012, 0.5700, 0.5000)
Mg (0.4300, 0.3012, 0.5000)
Mg (0.5000, 0.0000, 0.5000)
Mg (0.5700, 0.6988, 0.5000)
Mg (0.6988, 0.4300, 0.5000)
Mg (0.8012, 0.9300, 0.5000)
Mg (0.9300, 0.1988, 0.5000)

Largest 6 diffraction maxima, sorted by position, 2θ from 10° to 90°:
| 2θ (°) | intensity |
| --- | --- |
| 17.5 | 91 |
| 26.5 | 46 |
| 32.0 | 100 |
| 35.2 | 39 |
| 35.4 | 32 |
| 44.8 | 23 |



No. 3
Computed powder XRD pattern of Ti5Sb2O for λ = 1.5418 Å (Cu Kα), from a structure optimized by DFT (GGA-PBE).

Structural model:
Unit cell a=8.1512 b=8.1512 c=12.4675 alpha=90.00 beta=90.00 gamma=158.43
Atoms (fractional coordinates):
Ti (0.1231, 0.8769, 0.6188)
Ti (0.1231, 0.8769, 0.8812)
Ti (0.2220, 0.7780, 0.2500)
Ti (0.3120, 0.6880, 0.5453)
Ti (0.3120, 0.6880, 0.9547)
Ti (0.6880, 0.3120, 0.0453)
Ti (0.6880, 0.3120, 0.4547)
Ti (0.7780, 0.2220, 0.7500)
Ti (0.8769, 0.1231, 0.1188)
Ti (0.8769, 0.1231, 0.3812)
Sb (0.0539, 0.9461, 0.1168)
Sb (0.0539, 0.9461, 0.3832)
Sb (0.9461, 0.0539, 0.6168)
Sb (0.9461, 0.0539, 0.8832)
O (0.1881, 0.8119, 0.7500)
O (0.8119, 0.1881, 0.2500)

Largest 6 diffraction maxima, sorted by position, 2θ from 10° to 90°:
| 2θ (°) | intensity |
| --- | --- |
| 29.8 | 100 |
| 30.8 | 90 |
| 34.4 | 60 |
| 40.2 | 43 |
| 41.5 | 65 |
| 41.8 | 88 |